Theoretical X-ray diffraction stick pattern
Compound: CaCoAsHO5
Radiation: copper Kα
Structure: a crystal structure in Alexandria, relaxed with GGA+U
No peak broadening, texture or thermal motion is included.

Crystal structure
```
CaCoAsHO5
1.0
6.0090 0.0000 0.0000
0.0000 7.5899 0.0000
0.0000 0.0000 9.0774
Ca Co As H O
4 4 4 4 20
Direct
0.0233 0.1281 0.3279 Ca
0.4767 0.8719 0.8279 Ca
0.5233 0.3719 0.6721 Ca
0.9767 0.6281 0.1721 Ca
0.2444 0.2587 0.9942 Co
0.2556 0.7413 0.4942 Co
0.7444 0.2413 0.0058 Co
0.7556 0.7587 0.5058 Co
0.0172 0.6231 0.8226 As
0.4828 0.3769 0.3226 As
0.5172 0.8769 0.1774 As
0.9828 0.1231 0.6774 As
0.0172 0.9891 0.0218 H
0.4828 0.0109 0.5218 H
0.5172 0.5109 0.9782 H
0.9828 0.4891 0.4782 H
0.0051 0.1044 0.0725 O
0.0098 0.9456 0.5563 O
0.0902 0.7916 0.9402 O
0.2326 0.1503 0.7701 O
0.2454 0.6068 0.7068 O
0.2546 0.3932 0.2068 O
0.2674 0.8497 0.2701 O
0.4098 0.2084 0.4402 O
0.4902 0.0544 0.0563 O
0.4949 0.8956 0.5725 O
0.5051 0.3956 0.9275 O
0.5098 0.5544 0.4437 O
0.5902 0.7084 0.0598 O
0.7326 0.3497 0.2299 O
0.7454 0.8932 0.2932 O
0.7546 0.1068 0.7932 O
0.7674 0.6503 0.7299 O
0.9098 0.2916 0.5598 O
0.9902 0.4456 0.9437 O
0.9949 0.6044 0.4275 O
```

Largest 8 diffraction maxima, sorted by position, 2θ from 10° to 90°:
two_theta, d [Å], I (rel.)
17.7, 5.011, 29
21.2, 4.182, 36
27.8, 3.209, 100
31.8, 2.811, 83
33.6, 2.670, 79
34.2, 2.620, 48
35.3, 2.546, 47
56.4, 1.630, 58